This entry pairs a crystal structure of DyGa2Ni5Au with its computed powder XRD pattern. Radiation: Cu Ka. Structure: a DFT-relaxed cell (PBE, Alexandria).
Neutral-atom scattering factors, no anomalous dispersion.

Largest 8 diffraction maxima, by angle, 2θ from 10° to 90°:
| two_theta | I (rel.) |
| --- | --- |
| 30.48 | 44 |
| 33.52 | 17 |
| 38.87 | 100 |
| 44.78 | 15 |
| 45.85 | 29 |
| 48.14 | 45 |
| 68.66 | 18 |
| 83.48 | 26 |

Cell and atoms:
```
DyGa2Ni5Au
1.0
3.781 0.000 0.000
0.000 3.781 0.000
0.000 0.000 9.292
Dy Ga Ni Au
1 2 5 1
Direct
0.000 0.000 0.000 Dy
0.500 0.500 0.367 Ga
0.500 0.500 0.633 Ga
0.000 0.500 0.215 Ni
0.000 0.500 0.785 Ni
0.500 0.000 0.215 Ni
0.500 0.000 0.785 Ni
0.500 0.500 0.000 Ni
0.000 0.000 0.500 Au
```

This entry pairs a crystal structure of Pm2ErThTe5 with its computed powder XRD pattern. Radiation: Cu Ka. Structure: a DFT-relaxed cell (PBE, Alexandria).
Neutral-atom scattering factors, no anomalous dispersion.

Largest 8 diffraction maxima, by angle, 2θ from 10° to 90°:
| two_theta | I (rel.) |
| --- | --- |
| 15.00 | 32 |
| 23.00 | 94 |
| 32.45 | 61 |
| 32.75 | 100 |
| 34.51 | 56 |
| 45.19 | 30 |
| 46.99 | 37 |
| 48.31 | 43 |

Cell and atoms:
```
Pm2ErThTe5
1.0
5.470 0.000 0.000
0.000 5.470 0.000
0.000 0.000 11.813
Pm Er Th Te
2 1 1 5
Direct
0.000 0.000 0.153 Pm
0.000 0.000 0.847 Pm
0.500 0.500 0.000 Er
0.500 0.500 0.500 Th
0.000 0.000 0.500 Te
0.000 0.500 0.000 Te
0.500 0.000 0.000 Te
0.500 0.500 0.251 Te
0.500 0.500 0.749 Te
```

This entry pairs a crystal structure of CeInPt5 with its computed powder XRD pattern. Radiation: Cu Ka. Structure: a DFT-relaxed cell (PBE, Alexandria).
Neutral-atom scattering factors, no anomalous dispersion.

Largest 8 diffraction maxima, by angle, 2θ from 10° to 90°:
| two_theta | I (rel.) |
| --- | --- |
| 35.50 | 85 |
| 35.83 | 100 |
| 40.08 | 63 |
| 41.36 | 62 |
| 42.06 | 48 |
| 42.20 | 62 |
| 42.62 | 62 |
| 42.96 | 56 |

Cell and atoms:
```
CeInPt5
1.0
8.908 0.000 0.000
0.000 5.364 0.000
0.000 0.000 11.031
Ce In Pt
4 4 20
Direct
0.249 0.250 0.058 Ce
0.251 0.750 0.558 Ce
0.749 0.250 0.442 Ce
0.751 0.750 0.942 Ce
0.148 0.250 0.357 In
0.352 0.750 0.857 In
0.648 0.250 0.143 In
0.852 0.750 0.643 In
0.037 0.250 0.581 Pt
0.066 0.506 0.798 Pt
0.066 0.994 0.798 Pt
0.084 0.750 0.012 Pt
0.190 0.750 0.241 Pt
0.310 0.250 0.741 Pt
0.416 0.250 0.512 Pt
0.434 0.006 0.298 Pt
0.434 0.494 0.298 Pt
0.463 0.750 0.081 Pt
0.537 0.250 0.919 Pt
0.566 0.506 0.702 Pt
0.566 0.994 0.702 Pt
0.584 0.750 0.488 Pt
0.690 0.750 0.259 Pt
0.810 0.250 0.759 Pt
0.916 0.250 0.988 Pt
0.934 0.006 0.202 Pt
0.934 0.494 0.202 Pt
0.963 0.750 0.419 Pt
```

This entry pairs a crystal structure of NaRhO3 with its computed powder XRD pattern. Radiation: Cu Ka. Structure: a DFT-relaxed cell (PBE, Alexandria).
Neutral-atom scattering factors, no anomalous dispersion.

Largest 8 diffraction maxima, by angle, 2θ from 10° to 90°:
| two_theta | I (rel.) |
| --- | --- |
| 15.91 | 100 |
| 19.36 | 22 |
| 19.89 | 51 |
| 21.82 | 31 |
| 25.15 | 30 |
| 34.18 | 23 |
| 39.65 | 26 |
| 40.30 | 48 |

Cell and atoms:
```
NaRhO3
1.0
5.635 -4.585 0.000
5.635 4.585 0.000
-0.807 0.000 5.324
Na Rh O
4 4 12
Direct
0.119 0.881 0.750 Na
0.313 0.687 0.250 Na
0.687 0.313 0.750 Na
0.881 0.119 0.250 Na
0.162 0.326 0.982 Rh
0.326 0.162 0.482 Rh
0.674 0.838 0.518 Rh
0.838 0.674 0.018 Rh
0.086 0.199 0.644 O
0.099 0.600 0.928 O
0.199 0.086 0.144 O
0.292 0.388 0.309 O
0.388 0.292 0.809 O
0.400 0.901 0.572 O
0.600 0.099 0.428 O
0.612 0.708 0.191 O
0.708 0.612 0.691 O
0.801 0.914 0.856 O
0.901 0.400 0.072 O
0.914 0.801 0.356 O
```

This entry pairs a crystal structure of AgGeB with its computed powder XRD pattern. Radiation: Cu Ka. Structure: a DFT-relaxed cell (PBE, Alexandria).
Neutral-atom scattering factors, no anomalous dispersion.

Largest 8 diffraction maxima, by angle, 2θ from 10° to 90°:
| two_theta | I (rel.) |
| --- | --- |
| 28.83 | 59 |
| 29.17 | 28 |
| 34.21 | 100 |
| 35.27 | 31 |
| 43.75 | 27 |
| 44.04 | 25 |
| 44.17 | 25 |
| 46.43 | 21 |

Cell and atoms:
```
AgGeB
1.0
3.058 0.000 0.000
-0.006 5.114 0.000
-1.501 -1.939 6.194
Ag Ge B
2 2 2
Direct
0.122 0.107 0.242 Ag
0.878 0.893 0.758 Ag
0.405 0.332 0.814 Ge
0.595 0.668 0.186 Ge
0.273 0.494 0.548 B
0.727 0.506 0.452 B
```

> Number 1 is which compound?

DyGa2Ni5Au

> Which formula does entry 1 have?

DyGa2Ni5Au